Ho6RhAu5: theoretical powder X-ray diffraction pattern (Cu Kα (λ = 1.5418 Å)), based on DFT lattice parameters and positions (GGA-PBE).
No peak broadening, texture or thermal motion is included.

Principal peaks in the range 2θ = 10–90°, sorted by position:
| 2θ/deg | intensity | index |
| --- | --- | --- |
| 35.70 | 100.0 | 2 0 0 |
| 51.37 | 17.8 | 2 6 0 |
| 64.09 | 24.4 | 2 0 4 |
| 64.20 | 12.2 | 3 3 2 |
| 75.58 | 9.5 | 2 6 4 |
| 75.77 | 1.9 | 4 0 0 |
| 86.45 | 8.3 | 1 3 6 |
| 86.60 | 8.3 | 4 6 0 |

Cell and atoms:
Unit cell a=5.022 b=15.101 c=7.123 alpha=90.00 beta=90.00 gamma=90.00
Space group Cmmm (No. 65)
Unique sites:
Ho1 0.000 0.000 0.243
Ho2 0.000 0.337 0.246
Rh1 0.000 0.500 0.000
Au1 0.000 0.166 0.000
Au2 0.000 0.168 0.500
Au3 0.000 0.500 0.500